Calculated powder XRD pattern
Compound: Rb3Na
Radiation: CuKα
Structure: a structure optimized by DFT (PBE)
Kinematic intensities with the Lorentz-polarization factor, no thermal factor.

Cell and atoms:
```
data_Rb3Na
_chemical_formula_sum 'Rb3 Na1'
_cell_length_a 8.330
_cell_length_b 8.330
_cell_length_c 8.330
_cell_angle_alpha 133.63
_cell_angle_beta 133.63
_cell_angle_gamma 67.67
_space_group_name_H-M_alt 'P 1'
_space_group_IT_number 1
loop_
_space_group_symop_operation_xyz
'x,y,z'
loop_
_atom_site_label
_atom_site_type_symbol
_atom_site_fract_x
_atom_site_fract_y
_atom_site_fract_z
Rb1 Rb 0.000 0.000 0.000
Rb2 Rb 0.250 0.750 0.500
Rb3 Rb 0.750 0.250 0.500
Na1 Na 0.500 0.500 0.000
```

Most intense lines, 10° ≤ 2θ ≤ 80°, by angle:
two_theta, intensity
14.95, 13
23.09, 100
25.75, 19
27.19, 33
37.80, 27
38.83, 13
43.84, 18
45.66, 31
47.18, 14
59.98, 14
69.63, 9
75.11, 7